Calculated X-ray diffraction stick pattern
Compound: BaNa2V2CuO8
Radiation: Cu Kα X-rays
Structure: a DFT-relaxed cell (GGA+U, Alexandria)
Intensities are scaled so that the largest is 100.

Top 8 peaks for 2θ from 5° to 70°, by angle:
d/Å, 2theta, I_rel
4.985, 17.8, 39
4.653, 19.1, 35
3.370, 26.4, 41
2.927, 30.5, 79
2.871, 31.2, 54
2.840, 31.5, 40
2.779, 32.2, 100
2.753, 32.5, 36

Cell: 5.576 5.576 14.176 Å, 93.09 93.09 63.43°
Sites, in units of the cell vectors:
Ba1 0.133 0.867 0.750
Ba2 0.867 0.133 0.250
Na1 0.257 0.425 0.411
Na2 0.425 0.257 0.911
Na3 0.575 0.743 0.089
Na4 0.743 0.575 0.589
V1 0.226 0.414 0.128
V2 0.414 0.226 0.628
V3 0.586 0.774 0.372
V4 0.774 0.586 0.872
Cu1 0.000 0.000 0.000
Cu2 0.000 0.000 0.500
O1 0.012 0.695 0.916
O2 0.126 0.761 0.108
O3 0.212 0.526 0.577
O4 0.239 0.874 0.392
O5 0.274 0.357 0.247
O6 0.305 0.988 0.584
O7 0.357 0.274 0.747
O8 0.474 0.788 0.923
O9 0.526 0.212 0.077
O10 0.643 0.726 0.253
O11 0.695 0.012 0.416
O12 0.726 0.643 0.753
O13 0.761 0.126 0.608
O14 0.788 0.474 0.423
O15 0.874 0.239 0.892
O16 0.988 0.305 0.084